This entry pairs a crystal structure of Nb3SiNi8 with its computed powder diffraction line list. Radiation: Cu Kα. Structure: the GGA-PBE geometry in Alexandria.
Intensities are scaled so that the largest is 100.

Structural model:
```
data_Nb3SiNi8
_space_group_name_H-M_alt 'P 3 m 1'
_space_group_IT_number 156
_space_group_name_Hall 'P 3 -2"'
_cell_length_a 4.7893
_cell_length_b 4.7893
_cell_length_c 7.6979
_cell_angle_alpha 90.00
_cell_angle_beta 90.00
_cell_angle_gamma 120.00
loop_
_atom_site_label
_atom_site_type_symbol
_atom_site_fract_x
_atom_site_fract_y
_atom_site_fract_z
Nb1 Nb 0.0000 0.0000 0.0000
Nb2 Nb 0.0000 0.0000 0.3812
Nb3 Nb 0.6667 0.3333 0.8505
Si1 Si 0.6667 0.3333 0.4661
Ni1 Ni 0.1640 0.3281 0.6870
Ni2 Ni 0.3333 0.6667 0.4381
Ni3 Ni 0.3333 0.6667 0.9394
Ni4 Ni 0.5031 0.0062 0.1867
```

The 6 most intense peaks (10 to 80 degrees two-theta), in order of rising 2θ:
hkl 1 1 0, d 2.395, intensity 36; hkl 1 0 3, d 2.182, intensity 73; hkl 1 1 2, d 2.033, intensity 100; hkl 2 0 1, d 2.002, intensity 85; hkl 2 1 3, d 1.338, intensity 26; hkl 0 2 5, d 1.236, intensity 25


This entry pairs a crystal structure of AcLa4Dy15 with its computed powder diffraction line list. Radiation: Cu Kα. Structure: the GGA-PBE geometry in Alexandria.
Intensities are scaled so that the largest is 100.

Structural model:
```
data_AcLa4Dy15
_space_group_name_H-M_alt 'P 4/m m m'
_space_group_IT_number 123
_space_group_name_Hall '-P 4 2'
_cell_length_a 5.1217
_cell_length_b 5.1217
_cell_length_c 25.3465
_cell_angle_alpha 90.00
_cell_angle_beta 90.00
_cell_angle_gamma 90.00
loop_
_atom_site_label
_atom_site_type_symbol
_atom_site_fract_x
_atom_site_fract_y
_atom_site_fract_z
Ac1 Ac 0.0000 0.0000 0.0000
La1 La 0.0000 0.0000 0.2016
La2 La 0.0000 0.0000 0.4005
Dy1 Dy 0.0000 0.5000 0.1026
Dy2 Dy 0.0000 0.5000 0.3012
Dy3 Dy 0.0000 0.5000 0.5000
Dy4 Dy 0.5000 0.5000 0.0000
Dy5 Dy 0.5000 0.5000 0.2017
Dy6 Dy 0.5000 0.5000 0.4006
```

The 6 most intense peaks (10 to 80 degrees two-theta), in order of rising 2θ:
hkl 1 1 5, d 2.947, intensity 100; hkl 2 0 0, d 2.561, intensity 34; hkl 0 0 10, d 2.535, intensity 16; hkl 2 0 10, d 1.801, intensity 24; hkl 3 1 5, d 1.543, intensity 29; hkl 1 1 15, d 1.531, intensity 14


This entry pairs a crystal structure of Ce4BiSbO with its computed powder diffraction line list. Radiation: Cu Kα. Structure: the GGA-PBE geometry in Alexandria.
Intensities are scaled so that the largest is 100.

Structural model:
```
data_Ce4BiSbO
_space_group_name_H-M_alt 'C m c m'
_space_group_IT_number 63
_space_group_name_Hall '-C 2c 2'
_cell_length_a 6.6918
_cell_length_b 16.7304
_cell_length_c 6.6859
_cell_angle_alpha 90.00
_cell_angle_beta 90.00
_cell_angle_gamma 90.00
loop_
_atom_site_label
_atom_site_type_symbol
_atom_site_fract_x
_atom_site_fract_y
_atom_site_fract_z
Ce1 Ce 0.0000 0.0851 0.2500
Ce2 Ce 0.0000 0.4098 0.2500
Ce3 Ce 0.2500 0.2500 0.0000
Bi1 Bi 0.0000 0.3947 0.7500
Sb1 Sb 0.0000 0.1093 0.7500
O1 O 0.0000 0.2478 0.2500
```

The 6 most intense peaks (10 to 80 degrees two-theta), in order of rising 2θ:
hkl 2 2 0, d 3.105, intensity 65; hkl 0 6 0, d 2.788, intensity 35; hkl 2 4 0, d 2.612, intensity 100; hkl 2 0 2, d 2.365, intensity 59; hkl 2 6 2, d 1.804, intensity 39; hkl 4 4 2, d 1.408, intensity 30


This entry pairs a crystal structure of Ce4Pt3 with its computed powder diffraction line list. Radiation: Cu Kα. Structure: the GGA-PBE geometry in Alexandria.
Intensities are scaled so that the largest is 100.

Structural model:
```
data_Ce4Pt3
_space_group_name_H-M_alt 'R -3 c'
_space_group_IT_number 167
_space_group_name_Hall '-R 3 2"c'
_cell_length_a 12.8893
_cell_length_b 12.8893
_cell_length_c 7.3839
_cell_angle_alpha 90.00
_cell_angle_beta 90.00
_cell_angle_gamma 120.00
loop_
_atom_site_label
_atom_site_type_symbol
_atom_site_fract_x
_atom_site_fract_y
_atom_site_fract_z
Ce1 Ce 0.0000 0.0000 0.0000
Ce2 Ce 0.0000 0.4410 0.2500
Pt1 Pt 0.0000 0.1842 0.2500
```

The 6 most intense peaks (10 to 80 degrees two-theta), in order of rising 2θ:
hkl 2 1 1, d 3.663, intensity 21; hkl 1 3 1, d 2.855, intensity 100; hkl 1 2 2, d 2.778, intensity 52; hkl 3 1 2, d 2.372, intensity 30; hkl 1 1 3, d 2.299, intensity 23; hkl 4 3 1, d 1.781, intensity 18


This entry pairs a crystal structure of HoEr2Co2 with its computed powder diffraction line list. Radiation: Cu Kα. Structure: the GGA-PBE geometry in Alexandria.
Intensities are scaled so that the largest is 100.

Structural model:
```
data_HoEr2Co2
_space_group_name_H-M_alt 'C 1 2/m 1'
_space_group_IT_number 12
_space_group_name_Hall '-C 2y'
_cell_length_a 11.1674
_cell_length_b 3.6951
_cell_length_c 5.4491
_cell_angle_alpha 90.00
_cell_angle_beta 103.56
_cell_angle_gamma 90.00
loop_
_atom_site_label
_atom_site_type_symbol
_atom_site_fract_x
_atom_site_fract_y
_atom_site_fract_z
Ho1 Ho 0.0000 0.0000 0.0000
Er1 Er 0.1484 0.5000 0.5815
Co1 Co 0.2163 0.5000 0.1047
```

The 6 most intense peaks (10 to 80 degrees two-theta), in order of rising 2θ:
hkl 2 0 1, d 3.412, intensity 27; hkl 1 1 -1, d 3.026, intensity 69; hkl 1 1 1, d 2.823, intensity 28; hkl 4 0 -1, d 2.684, intensity 46; hkl 2 0 -2, d 2.636, intensity 29; hkl 3 1 0, d 2.585, intensity 100


This entry pairs a crystal structure of Tm5TlPb2 with its computed powder diffraction line list. Radiation: Cu Kα. Structure: the GGA-PBE geometry in Alexandria.
Intensities are scaled so that the largest is 100.

Structural model:
```
data_Tm5TlPb2
_space_group_name_H-M_alt 'I 4/m c m'
_space_group_IT_number 140
_space_group_name_Hall '-I 4 2c'
_cell_length_a 8.1794
_cell_length_b 8.1794
_cell_length_c 13.5477
_cell_angle_alpha 90.00
_cell_angle_beta 90.00
_cell_angle_gamma 90.00
loop_
_atom_site_label
_atom_site_type_symbol
_atom_site_fract_x
_atom_site_fract_y
_atom_site_fract_z
Tm1 Tm 0.0000 0.0000 0.0000
Tm2 Tm 0.1535 0.3465 0.1528
Tl1 Tl 0.0000 0.0000 0.2500
Pb1 Pb 0.1487 0.3513 0.5000
```

The 6 most intense peaks (10 to 80 degrees two-theta), in order of rising 2θ:
hkl 1 1 4, d 2.923, intensity 12; hkl 2 1 3, d 2.842, intensity 100; hkl 2 0 4, d 2.609, intensity 11; hkl 3 1 0, d 2.587, intensity 55; hkl 4 1 3, d 1.816, intensity 12; hkl 5 2 3, d 1.440, intensity 19


This entry pairs a crystal structure of La3CeDy3Te8 with its computed powder diffraction line list. Radiation: Cu Kα. Structure: the GGA-PBE geometry in Alexandria.
Intensities are scaled so that the largest is 100.

Structural model:
```
data_La3CeDy3Te8
_space_group_name_H-M_alt 'C 1 2/m 1'
_space_group_IT_number 12
_space_group_name_Hall '-C 2y'
_cell_length_a 15.3718
_cell_length_b 8.8880
_cell_length_c 8.9395
_cell_angle_alpha 90.00
_cell_angle_beta 124.89
_cell_angle_gamma 90.00
loop_
_atom_site_label
_atom_site_type_symbol
_atom_site_fract_x
_atom_site_fract_y
_atom_site_fract_z
La1 La 0.0000 0.0000 0.0000
La2 La 0.2500 0.2500 0.0000
Ce1 Ce 0.0000 0.0000 0.5000
Dy1 Dy 0.0000 0.5000 0.5000
Dy2 Dy 0.2500 0.2500 0.5000
Te1 Te 0.0055 0.2623 0.2544
Te2 Te 0.2430 0.5000 0.2541
Te3 Te 0.2447 0.5000 0.7341
```

The 6 most intense peaks (10 to 80 degrees two-theta), in order of rising 2θ:
hkl 4 0 0, d 3.152, intensity 100; hkl 2 2 2, d 2.237, intensity 38; hkl 0 4 0, d 2.220, intensity 37; hkl 4 4 0, d 1.815, intensity 20; hkl 6 2 2, d 1.414, intensity 17; hkl 10 2 -2, d 1.405, intensity 17


This entry pairs a crystal structure of Ti4Ge with its computed powder diffraction line list. Radiation: Cu Kα. Structure: the GGA-PBE geometry in Alexandria.
Intensities are scaled so that the largest is 100.

Structural model:
```
data_Ti4Ge
_space_group_name_H-M_alt 'I m m a'
_space_group_IT_number 74
_space_group_name_Hall '-I 2b 2'
_cell_length_a 4.4843
_cell_length_b 5.4253
_cell_length_c 13.2956
_cell_angle_alpha 90.00
_cell_angle_beta 90.00
_cell_angle_gamma 90.00
loop_
_atom_site_label
_atom_site_type_symbol
_atom_site_fract_x
_atom_site_fract_y
_atom_site_fract_z
Ti1 Ti 0.0000 0.0000 0.0000
Ti2 Ti 0.0000 0.0039 0.1983
Ti3 Ti 0.0000 0.2500 0.4034
Ge1 Ge 0.0000 0.2500 0.6119
```

The 6 most intense peaks (10 to 80 degrees two-theta), in order of rising 2θ:
hkl 1 0 5, d 2.287, intensity 100; hkl 2 0 0, d 2.242, intensity 26; hkl 0 2 4, d 2.102, intensity 19; hkl 0 2 6, d 1.716, intensity 8; hkl 2 2 4, d 1.533, intensity 13; hkl 3 0 5, d 1.303, intensity 14


This entry pairs a crystal structure of CaTmCo2Ge2 with its computed powder diffraction line list. Radiation: Cu Kα. Structure: the GGA-PBE geometry in Alexandria.
Intensities are scaled so that the largest is 100.

Structural model:
```
data_CaTmCo2Ge2
_space_group_name_H-M_alt 'P -3 m 1'
_space_group_IT_number 164
_space_group_name_Hall '-P 3 2"'
_cell_length_a 4.3159
_cell_length_b 4.3159
_cell_length_c 6.9659
_cell_angle_alpha 90.00
_cell_angle_beta 90.00
_cell_angle_gamma 120.00
loop_
_atom_site_label
_atom_site_type_symbol
_atom_site_fract_x
_atom_site_fract_y
_atom_site_fract_z
Ca1 Ca 0.0000 0.0000 0.0000
Tm1 Tm 0.0000 0.0000 0.5000
Co1 Co 0.3333 0.6667 0.6396
Ge1 Ge 0.3333 0.6667 0.2796
```

The 6 most intense peaks (10 to 80 degrees two-theta), in order of rising 2θ:
hkl 0 0 1, d 6.966, intensity 100; hkl 0 1 2, d 2.548, intensity 86; hkl 1 1 0, d 2.158, intensity 70; hkl 1 1 1, d 2.061, intensity 29; hkl 0 1 3, d 1.972, intensity 34; hkl 2 0 2, d 1.647, intensity 22